# 1
V5NiP6O24: calculated powder diffractogram (Cu Kα, 1.54184 Å), based on DFT lattice parameters and positions (GGA+U).

Cell and atoms:
```
data_V5NiP6O24
_space_group_name_H-M_alt 'R 3'
_space_group_IT_number 146
_space_group_name_Hall 'R 3'
_cell_length_a 8.6200
_cell_length_b 8.6200
_cell_length_c 20.7533
_cell_angle_alpha 90.00
_cell_angle_beta 90.00
_cell_angle_gamma 120.00
loop_
_atom_site_label
_atom_site_type_symbol
_atom_site_fract_x
_atom_site_fract_y
_atom_site_fract_z
_atom_site_occupancy
V1 V 0.0000 0.0000 0.0000 1
V2 V 0.0000 0.0000 0.1438 1
V3 V 0.0000 0.0000 0.3566 1
V4 V 0.0000 0.0000 0.5030 1
V5 V 0.0000 0.0000 0.8551 1
Ni1 Ni 0.0000 0.0000 0.6446 1
P1 P 0.9996 0.2941 0.2483 1
P2 P 0.0398 0.6684 0.4170 1
O1 O 0.0009 0.1986 0.3094 1
O2 O 0.0077 0.8120 0.8116 1
O3 O 0.0111 0.1783 0.9208 1
O4 O 0.0184 0.8372 0.4295 1
O5 O 0.1320 0.6733 0.3554 1
O6 O 0.1506 0.4684 0.8546 1
O7 O 0.1643 0.6755 0.7462 1
O8 O 0.1689 0.4796 0.2365 1
```

Top 10 peaks for 2θ = 5–70°, by angle:
20.6°, d = 4.310 Å, intensity 68; 24.3°, d = 3.658 Å, intensity 100; 25.4°, d = 3.512 Å, intensity 14; 32.0°, d = 2.796 Å, intensity 16; 33.2°, d = 2.698 Å, intensity 60; 36.1°, d = 2.488 Å, intensity 33; 47.6°, d = 1.910 Å, intensity 26; 49.9°, d = 1.829 Å, intensity 23; 56.5°, d = 1.629 Å, intensity 20; 63.1°, d = 1.474 Å, intensity 17

# 2
V3Ni2P6WO24: calculated powder diffractogram (Cu Kα, 1.54184 Å), based on DFT lattice parameters and positions (GGA+U).

Cell and atoms:
```
data_V3Ni2P6WO24
_space_group_name_H-M_alt 'R 3'
_space_group_IT_number 146
_space_group_name_Hall 'R 3'
_cell_length_a 8.6885
_cell_length_b 8.6885
_cell_length_c 20.7712
_cell_angle_alpha 90.00
_cell_angle_beta 90.00
_cell_angle_gamma 120.00
loop_
_atom_site_label
_atom_site_type_symbol
_atom_site_fract_x
_atom_site_fract_y
_atom_site_fract_z
_atom_site_occupancy
V1 V 0.0000 0.0000 0.0000 1
V2 V 0.0000 0.0000 0.2159 1
V3 V 0.0000 0.0000 0.7171 1
Ni1 Ni 0.0000 0.0000 0.3547 1
Ni2 Ni 0.0000 0.0000 0.8580 1
P1 P 0.0010 0.7024 0.6103 1
P2 P 0.0435 0.3720 0.7756 1
W1 W 0.0000 0.0000 0.5011 1
O1 O 0.0073 0.2005 0.1699 1
O2 O 0.0094 0.8086 0.6691 1
O3 O 0.0139 0.1812 0.7837 1
O4 O 0.0149 0.8331 0.2836 1
O5 O 0.1352 0.4668 0.7140 1
O6 O 0.1432 0.6773 0.2144 1
O7 O 0.1657 0.4863 0.1024 1
O8 O 0.1673 0.6848 0.5983 1
```

Top 10 peaks for 2θ = 5–70°, by angle:
12.5°, d = 7.075 Å, intensity 30; 14.5°, d = 6.093 Å, intensity 20; 20.4°, d = 4.344 Å, intensity 100; 20.8°, d = 4.274 Å, intensity 23; 24.2°, d = 3.680 Å, intensity 76; 33.1°, d = 2.707 Å, intensity 65; 35.8°, d = 2.508 Å, intensity 40; 47.4°, d = 1.917 Å, intensity 31; 49.5°, d = 1.840 Å, intensity 25; 56.0°, d = 1.642 Å, intensity 25

# 3
Pa2NiO6: calculated powder diffractogram (Cu Kα, 1.54184 Å), based on DFT lattice parameters and positions (GGA+U).

Cell and atoms:
```
data_Pa2NiO6
_space_group_name_H-M_alt 'P n n m'
_space_group_IT_number 58
_space_group_name_Hall '-P 2 2n'
_cell_length_a 5.392
_cell_length_b 5.517
_cell_length_c 9.158
_cell_angle_alpha 90.00
_cell_angle_beta 90.00
_cell_angle_gamma 90.00
loop_
_atom_site_label
_atom_site_type_symbol
_atom_site_fract_x
_atom_site_fract_y
_atom_site_fract_z
_atom_site_occupancy
Pa1 Pa 0.000 0.000 0.193 1
Ni1 Ni 0.000 0.500 0.000 1
O1 O 0.176 0.165 0.000 1
O2 O 0.219 0.662 0.168 1
```

Top 10 peaks for 2θ = 5–70°, by angle:
19.1°, d = 4.646 Å, intensity 62; 19.4°, d = 4.579 Å, intensity 35; 23.1°, d = 3.856 Å, intensity 94; 30.3°, d = 2.950 Å, intensity 100; 32.5°, d = 2.759 Å, intensity 30; 33.2°, d = 2.696 Å, intensity 24; 33.6°, d = 2.671 Å, intensity 42; 33.7°, d = 2.656 Å, intensity 27; 47.1°, d = 1.928 Å, intensity 30; 47.9°, d = 1.897 Å, intensity 47

# 4
Rb4Pa3NiO12: calculated powder diffractogram (Cu Kα, 1.54184 Å), based on DFT lattice parameters and positions (GGA+U).

Cell and atoms:
```
data_Rb4Pa3NiO12
_space_group_name_H-M_alt 'I m -3 m'
_space_group_IT_number 229
_space_group_name_Hall '-I 4 2 3'
_cell_length_a 8.704
_cell_length_b 8.704
_cell_length_c 8.704
_cell_angle_alpha 90.00
_cell_angle_beta 90.00
_cell_angle_gamma 90.00
loop_
_atom_site_label
_atom_site_type_symbol
_atom_site_fract_x
_atom_site_fract_y
_atom_site_fract_z
_atom_site_occupancy
Rb1 Rb 0.250 0.250 0.250 1
Pa1 Pa 0.000 0.000 0.500 1
Ni1 Ni 0.000 0.000 0.000 1
O1 O 0.000 0.000 0.257 1
O2 O 0.000 0.250 0.500 1
```

Top 10 peaks for 2θ = 5–70°, by angle:
14.4°, d = 6.155 Å, intensity 13; 20.4°, d = 4.352 Å, intensity 24; 25.1°, d = 3.554 Å, intensity 7; 29.0°, d = 3.077 Å, intensity 100; 41.5°, d = 2.176 Å, intensity 30; 46.7°, d = 1.946 Å, intensity 11; 51.4°, d = 1.777 Å, intensity 42; 60.1°, d = 1.539 Å, intensity 19; 64.2°, d = 1.451 Å, intensity 5; 68.1°, d = 1.376 Å, intensity 19

# 5
PaTl2NiO6: calculated powder diffractogram (Cu Kα, 1.54184 Å), based on DFT lattice parameters and positions (GGA+U).

Cell and atoms:
```
data_PaTl2NiO6
_space_group_name_H-M_alt 'C m c m'
_space_group_IT_number 63
_space_group_name_Hall '-C 2c 2'
_cell_length_a 11.122
_cell_length_b 10.399
_cell_length_c 5.507
_cell_angle_alpha 90.00
_cell_angle_beta 90.00
_cell_angle_gamma 90.00
loop_
_atom_site_label
_atom_site_type_symbol
_atom_site_fract_x
_atom_site_fract_y
_atom_site_fract_z
_atom_site_occupancy
Pa1 Pa 0.000 0.133 0.250 1
Tl1 Tl 0.243 0.134 0.750 1
Ni1 Ni 0.000 0.292 0.750 1
O1 O 0.116 0.000 0.000 1
O2 O 0.116 0.266 0.000 1
```

Top 10 peaks for 2θ = 5–70°, by angle:
11.6°, d = 7.596 Å, intensity 26; 28.5°, d = 3.127 Å, intensity 100; 32.2°, d = 2.781 Å, intensity 15; 32.5°, d = 2.753 Å, intensity 15; 46.4°, d = 1.956 Å, intensity 19; 47.9°, d = 1.899 Å, intensity 12; 48.1°, d = 1.890 Å, intensity 13; 55.2°, d = 1.664 Å, intensity 16; 55.6°, d = 1.653 Å, intensity 17; 58.2°, d = 1.585 Å, intensity 9

# 6
NiPbSeO5: calculated powder diffractogram (Cu Kα, 1.54184 Å), based on DFT lattice parameters and positions (GGA+U).

Cell and atoms:
```
data_NiPbSeO5
_space_group_name_H-M_alt 'C m c m'
_space_group_IT_number 63
_space_group_name_Hall '-C 2c 2'
_cell_length_a 6.488
_cell_length_b 11.478
_cell_length_c 7.015
_cell_angle_alpha 90.00
_cell_angle_beta 90.00
_cell_angle_gamma 90.00
loop_
_atom_site_label
_atom_site_type_symbol
_atom_site_fract_x
_atom_site_fract_y
_atom_site_fract_z
_atom_site_occupancy
Ni1 Ni 0.000 0.202 0.250 1
Pb1 Pb 0.000 0.500 0.000 1
Se1 Se 0.000 0.234 0.750 1
O1 O 0.000 0.152 0.555 1
O2 O 0.000 0.367 0.250 1
O3 O 0.195 0.335 0.750 1
```

Top 10 peaks for 2θ = 5–70°, by angle:
15.7°, d = 5.648 Å, intensity 100; 27.1°, d = 3.296 Å, intensity 79; 27.5°, d = 3.244 Å, intensity 65; 29.9°, d = 2.993 Å, intensity 89; 30.0°, d = 2.980 Å, intensity 60; 37.4°, d = 2.402 Å, intensity 26; 41.0°, d = 2.200 Å, intensity 64; 42.0°, d = 2.149 Å, intensity 22; 48.3°, d = 1.883 Å, intensity 21; 49.5°, d = 1.842 Å, intensity 35

# 7
NiTe2Pb3O9: calculated powder diffractogram (Cu Kα, 1.54184 Å), based on DFT lattice parameters and positions (GGA+U).

Cell and atoms:
```
data_NiTe2Pb3O9
_space_group_name_H-M_alt 'P -3 m 1'
_space_group_IT_number 164
_space_group_name_Hall '-P 3 2"'
_cell_length_a 5.8182
_cell_length_b 5.8182
_cell_length_c 7.1613
_cell_angle_alpha 90.00
_cell_angle_beta 90.00
_cell_angle_gamma 120.00
loop_
_atom_site_label
_atom_site_type_symbol
_atom_site_fract_x
_atom_site_fract_y
_atom_site_fract_z
_atom_site_occupancy
Ni1 Ni 0.0000 0.0000 0.0000 1
Te1 Te 0.3333 0.6667 0.6761 1
Pb1 Pb 0.0000 0.0000 0.5000 1
Pb2 Pb 0.3333 0.6667 0.1433 1
O1 O 0.0000 0.5000 0.5000 1
O2 O 0.1718 0.3437 0.8356 1
```

Top 10 peaks for 2θ = 5–70°, by angle:
21.6°, d = 4.121 Å, intensity 22; 30.6°, d = 2.919 Å, intensity 98; 30.7°, d = 2.909 Å, intensity 100; 37.9°, d = 2.377 Å, intensity 16; 43.9°, d = 2.060 Å, intensity 55; 49.5°, d = 1.840 Å, intensity 6; 54.4°, d = 1.687 Å, intensity 18; 54.6°, d = 1.681 Å, intensity 61; 63.8°, d = 1.459 Å, intensity 16; 64.0°, d = 1.455 Å, intensity 18

# 8
NiTePbO5: calculated powder diffractogram (Cu Kα, 1.54184 Å), based on DFT lattice parameters and positions (GGA+U).

Cell and atoms:
```
data_NiTePbO5
_space_group_name_H-M_alt 'C 1 2/c 1'
_space_group_IT_number 15
_space_group_name_Hall '-C 2yc'
_cell_length_a 7.105
_cell_length_b 10.374
_cell_length_c 7.275
_cell_angle_alpha 90.00
_cell_angle_beta 108.39
_cell_angle_gamma 90.00
loop_
_atom_site_label
_atom_site_type_symbol
_atom_site_fract_x
_atom_site_fract_y
_atom_site_fract_z
_atom_site_occupancy
Ni1 Ni 0.000 0.009 0.250 1
Te1 Te 0.000 0.495 0.250 1
Pb1 Pb 0.250 0.250 0.000 1
O1 O 0.000 0.182 0.750 1
O2 O 0.017 0.366 0.066 1
O3 O 0.190 0.056 0.122 1
```

Top 10 peaks for 2θ = 5–70°, by angle:
17.4°, d = 5.082 Å, intensity 100; 22.8°, d = 3.898 Å, intensity 59; 30.0°, d = 2.974 Å, intensity 32; 30.7°, d = 2.915 Å, intensity 38; 31.1°, d = 2.874 Å, intensity 84; 31.7°, d = 2.827 Å, intensity 70; 34.6°, d = 2.594 Å, intensity 28; 43.0°, d = 2.103 Å, intensity 20; 46.9°, d = 1.938 Å, intensity 31; 54.5°, d = 1.685 Å, intensity 30

# 9
TmNi2PbO6: calculated powder diffractogram (Cu Kα, 1.54184 Å), based on DFT lattice parameters and positions (GGA+U).

Cell and atoms:
```
data_TmNi2PbO6
_space_group_name_H-M_alt 'P 1'
_space_group_IT_number 1
_space_group_name_Hall 'P 1'
_cell_length_a 5.224
_cell_length_b 5.358
_cell_length_c 5.490
_cell_angle_alpha 119.10
_cell_angle_beta 116.50
_cell_angle_gamma 90.23
loop_
_atom_site_label
_atom_site_type_symbol
_atom_site_fract_x
_atom_site_fract_y
_atom_site_fract_z
_atom_site_occupancy
Tm1 Tm 0.000 0.000 0.000 1
Ni1 Ni 0.288 0.783 0.515 1
Ni2 Ni 0.777 0.271 0.497 1
Pb1 Pb 0.567 0.497 0.014 1
O1 O 0.177 0.594 0.019 1
O2 O 0.406 0.083 0.002 1
O3 O 0.608 0.589 0.660 1
O4 O 0.631 0.101 0.658 1
O5 O 0.939 0.946 0.354 1
O6 O 0.966 0.444 0.360 1
```

Top 10 peaks for 2θ = 5–70°, by angle:
21.6°, d = 4.118 Å, intensity 31; 23.8°, d = 3.739 Å, intensity 43; 31.9°, d = 2.805 Å, intensity 100; 32.8°, d = 2.733 Å, intensity 94; 33.4°, d = 2.679 Å, intensity 39; 34.4°, d = 2.610 Å, intensity 31; 40.2°, d = 2.245 Å, intensity 29; 44.0°, d = 2.059 Å, intensity 24; 48.8°, d = 1.866 Å, intensity 19; 56.4°, d = 1.633 Å, intensity 24

# 10
UNiPbO6: calculated powder diffractogram (Cu Kα, 1.54184 Å), based on DFT lattice parameters and positions (GGA+U).

Cell and atoms:
```
data_UNiPbO6
_space_group_name_H-M_alt 'P 3 1 2'
_space_group_IT_number 149
_space_group_name_Hall 'P 3 2'
_cell_length_a 5.3426
_cell_length_b 5.3426
_cell_length_c 4.8299
_cell_angle_alpha 90.00
_cell_angle_beta 90.00
_cell_angle_gamma 120.00
loop_
_atom_site_label
_atom_site_type_symbol
_atom_site_fract_x
_atom_site_fract_y
_atom_site_fract_z
_atom_site_occupancy
U1 U 0.0000 0.0000 0.0000 1
Ni1 Ni 0.3333 0.6667 0.0000 1
Pb1 Pb 0.6667 0.3333 0.5000 1
O1 O 0.0076 0.3320 0.7663 1
```

Top 10 peaks for 2θ = 5–70°, by angle:
19.2°, d = 4.627 Å, intensity 17; 26.7°, d = 3.341 Å, intensity 100; 33.5°, d = 2.671 Å, intensity 39; 37.2°, d = 2.415 Å, intensity 8; 42.2°, d = 2.141 Å, intensity 5; 43.4°, d = 2.086 Å, intensity 28; 51.0°, d = 1.791 Å, intensity 36; 55.9°, d = 1.644 Å, intensity 27; 60.0°, d = 1.542 Å, intensity 13; 60.9°, d = 1.521 Å, intensity 10